(1)
For Ta6B5, a PBE-relaxed structure gives the simulated X-ray powder pattern in this record (Cu Kα X-rays).

Principal peaks in the range 2θ from 10° to 90°, by angle:
| 2θ (°) | I_rel |
| --- | --- |
| 33.94 | 100.0 |
| 39.39 | 58.1 |
| 56.93 | 39.5 |
| 67.93 | 20.5 |
| 67.99 | 20.5 |
| 71.43 | 13.3 |
| 84.69 | 2.1 |
| 84.80 | 4.3 |

Cell and atoms:
```
data_Ta6B5
_chemical_formula_sum 'Ta6 B5'
_cell_length_a 5.602
_cell_length_b 5.602
_cell_length_c 5.603
_cell_angle_alpha 99.63
_cell_angle_beta 99.63
_cell_angle_gamma 119.93
_symmetry_space_group_name_H-M 'P 1'
_symmetry_Int_Tables_number 1
loop_
_symmetry_equiv_pos_as_xyz
'x,y,z'
loop_
_atom_site_label
_atom_site_type_symbol
_atom_site_fract_x
_atom_site_fract_y
_atom_site_fract_z
Ta1 Ta 0.073 0.415 0.249
Ta2 Ta 0.245 0.245 0.759
Ta3 Ta 0.415 0.073 0.249
Ta4 Ta 0.585 0.927 0.751
Ta5 Ta 0.755 0.755 0.241
Ta6 Ta 0.927 0.585 0.751
B1 B 0.000 0.000 0.000
B2 B 0.167 0.833 0.500
B3 B 0.332 0.668 0.000
B4 B 0.668 0.332 0.000
B5 B 0.833 0.167 0.500
```

(2)
For Hg3SbAsS3, a PBE-relaxed structure gives the simulated X-ray powder pattern in this record (Cu Kα X-rays).

Principal peaks in the range 2θ from 10° to 90°, by angle:
| 2θ (°) | I_rel |
| --- | --- |
| 21.02 | 12.5 |
| 24.70 | 88.4 |
| 25.75 | 16.0 |
| 26.27 | 38.1 |
| 27.06 | 34.5 |
| 29.69 | 100.0 |
| 29.90 | 63.8 |
| 42.12 | 32.9 |
| 43.17 | 29.7 |
| 44.96 | 18.1 |
| 46.61 | 15.7 |
| 50.04 | 13.4 |

Cell and atoms:
```
data_Hg3SbAsS3
_chemical_formula_sum 'Hg12 Sb4 As4 S12'
_cell_length_a 11.958
_cell_length_b 4.519
_cell_length_c 19.781
_cell_angle_alpha 90.00
_cell_angle_beta 125.37
_cell_angle_gamma 90.00
_symmetry_space_group_name_H-M 'P 1'
_symmetry_Int_Tables_number 1
loop_
_symmetry_equiv_pos_as_xyz
'x,y,z'
loop_
_atom_site_label
_atom_site_type_symbol
_atom_site_fract_x
_atom_site_fract_y
_atom_site_fract_z
Hg1 Hg 0.057 0.232 0.422
Hg2 Hg 0.057 0.268 0.922
Hg3 Hg 0.209 0.724 0.313
Hg4 Hg 0.209 0.776 0.813
Hg5 Hg 0.298 0.114 0.677
Hg6 Hg 0.298 0.386 0.177
Hg7 Hg 0.702 0.614 0.823
Hg8 Hg 0.702 0.886 0.323
Hg9 Hg 0.791 0.224 0.187
Hg10 Hg 0.791 0.276 0.687
Hg11 Hg 0.943 0.732 0.078
Hg12 Hg 0.943 0.768 0.578
Sb1 Sb 0.403 0.687 0.548
Sb2 Sb 0.403 0.813 0.048
Sb3 Sb 0.597 0.187 0.952
Sb4 Sb 0.597 0.313 0.452
As1 As 0.101 0.138 0.693
As2 As 0.101 0.362 0.193
As3 As 0.899 0.638 0.807
As4 As 0.899 0.862 0.307
S1 S 0.182 0.606 0.533
S2 S 0.182 0.894 0.033
S3 S 0.312 0.063 0.430
S4 S 0.312 0.437 0.930
S5 S 0.489 0.040 0.664
S6 S 0.489 0.460 0.164
S7 S 0.511 0.540 0.836
S8 S 0.511 0.960 0.336
S9 S 0.688 0.563 0.070
S10 S 0.688 0.937 0.570
S11 S 0.818 0.106 0.967
S12 S 0.818 0.394 0.467
```

(3)
For CsBe3CdAs3, a PBE-relaxed structure gives the simulated X-ray powder pattern in this record (Cu Kα X-rays).

Principal peaks in the range 2θ from 10° to 90°, by angle:
| 2θ (°) | I_rel |
| --- | --- |
| 21.75 | 17.1 |
| 24.07 | 24.1 |
| 27.29 | 100.0 |
| 28.00 | 93.3 |
| 31.58 | 27.1 |
| 32.66 | 37.7 |
| 33.02 | 20.3 |
| 40.37 | 24.4 |
| 44.34 | 24.6 |
| 46.24 | 83.5 |
| 53.26 | 30.4 |
| 54.48 | 28.3 |

Cell and atoms:
```
data_CsBe3CdAs3
_chemical_formula_sum 'Cs1 Be3 Cd1 As3'
_cell_length_a 3.931
_cell_length_b 4.086
_cell_length_c 10.885
_cell_angle_alpha 90.00
_cell_angle_beta 90.00
_cell_angle_gamma 90.00
_symmetry_space_group_name_H-M 'P 1'
_symmetry_Int_Tables_number 1
loop_
_symmetry_equiv_pos_as_xyz
'x,y,z'
loop_
_atom_site_label
_atom_site_type_symbol
_atom_site_fract_x
_atom_site_fract_y
_atom_site_fract_z
Cs1 Cs 0.000 0.000 0.000
Be1 Be 0.000 0.500 0.330
Be2 Be 0.000 0.500 0.656
Be3 Be 0.500 0.000 0.323
Cd1 Cd 0.500 0.000 0.611
As1 As 0.000 0.000 0.446
As2 As 0.500 0.500 0.218
As3 As 0.500 0.500 0.763
```

(4)
For LuScNO, a PBE-relaxed structure gives the simulated X-ray powder pattern in this record (Cu Kα X-rays).

Principal peaks in the range 2θ from 10° to 90°, by angle:
| 2θ (°) | I_rel |
| --- | --- |
| 19.60 | 41.9 |
| 27.34 | 41.9 |
| 33.86 | 100.0 |
| 39.05 | 58.8 |
| 39.80 | 27.8 |
| 44.05 | 22.2 |
| 48.96 | 18.2 |
| 56.41 | 19.1 |
| 56.98 | 37.1 |
| 67.44 | 28.8 |
| 68.47 | 13.8 |
| 71.24 | 18.4 |

Cell and atoms:
```
data_LuScNO
_chemical_formula_sum 'Lu1 Sc1 N1 O1'
_cell_length_a 3.262
_cell_length_b 3.262
_cell_length_c 4.530
_cell_angle_alpha 90.00
_cell_angle_beta 90.00
_cell_angle_gamma 90.00
_symmetry_space_group_name_H-M 'P 1'
_symmetry_Int_Tables_number 1
loop_
_symmetry_equiv_pos_as_xyz
'x,y,z'
loop_
_atom_site_label
_atom_site_type_symbol
_atom_site_fract_x
_atom_site_fract_y
_atom_site_fract_z
Lu1 Lu 0.000 0.000 0.000
Sc1 Sc 0.500 0.500 0.500
N1 N 0.500 0.500 0.000
O1 O 0.000 0.000 0.500
```

(5)
For Tb3Al7Pd2, a PBE-relaxed structure gives the simulated X-ray powder pattern in this record (Cu Kα X-rays).

Principal peaks in the range 2θ from 10° to 90°, by angle:
| 2θ (°) | I_rel |
| --- | --- |
| 18.88 | 18.7 |
| 20.46 | 37.8 |
| 23.09 | 15.7 |
| 30.45 | 29.5 |
| 32.45 | 81.9 |
| 33.31 | 18.4 |
| 37.81 | 15.7 |
| 38.67 | 100.0 |
| 57.89 | 15.6 |
| 62.07 | 24.8 |
| 63.32 | 21.9 |
| 67.95 | 16.7 |

Cell and atoms:
```
data_Tb3Al7Pd2
_chemical_formula_sum 'Tb3 Al7 Pd2'
_cell_length_a 9.246
_cell_length_b 9.246
_cell_length_c 9.246
_cell_angle_alpha 34.72
_cell_angle_beta 34.72
_cell_angle_gamma 34.72
_symmetry_space_group_name_H-M 'P 1'
_symmetry_Int_Tables_number 1
loop_
_symmetry_equiv_pos_as_xyz
'x,y,z'
loop_
_atom_site_label
_atom_site_type_symbol
_atom_site_fract_x
_atom_site_fract_y
_atom_site_fract_z
Tb1 Tb 0.000 0.000 0.000
Tb2 Tb 0.144 0.144 0.144
Tb3 Tb 0.856 0.856 0.856
Al1 Al 0.073 0.583 0.583
Al2 Al 0.417 0.417 0.927
Al3 Al 0.417 0.927 0.417
Al4 Al 0.500 0.500 0.500
Al5 Al 0.583 0.073 0.583
Al6 Al 0.583 0.583 0.073
Al7 Al 0.927 0.417 0.417
Pd1 Pd 0.336 0.336 0.336
Pd2 Pd 0.664 0.664 0.664
```

(6)
For Gd2NCl3, a PBE-relaxed structure gives the simulated X-ray powder pattern in this record (Cu Kα X-rays).

Principal peaks in the range 2θ from 10° to 90°, by angle:
| 2θ (°) | I_rel |
| --- | --- |
| 13.54 | 19.1 |
| 14.79 | 31.7 |
| 23.85 | 100.0 |
| 29.05 | 20.3 |
| 32.75 | 17.0 |
| 33.77 | 39.5 |
| 36.75 | 53.1 |
| 40.26 | 13.9 |
| 40.78 | 18.8 |
| 48.47 | 17.9 |
| 51.37 | 13.4 |
| 62.31 | 13.4 |

Cell and atoms:
```
data_Gd2NCl3
_chemical_formula_sum 'Gd8 N4 Cl12'
_cell_length_a 13.084
_cell_length_b 6.735
_cell_length_c 6.148
_cell_angle_alpha 90.00
_cell_angle_beta 90.00
_cell_angle_gamma 90.00
_symmetry_space_group_name_H-M 'P 1'
_symmetry_Int_Tables_number 1
loop_
_symmetry_equiv_pos_as_xyz
'x,y,z'
loop_
_atom_site_label
_atom_site_type_symbol
_atom_site_fract_x
_atom_site_fract_y
_atom_site_fract_z
Gd1 Gd 0.092 0.173 0.008
Gd2 Gd 0.092 0.827 0.508
Gd3 Gd 0.408 0.327 0.508
Gd4 Gd 0.408 0.673 0.008
Gd5 Gd 0.592 0.327 0.992
Gd6 Gd 0.592 0.673 0.492
Gd7 Gd 0.908 0.173 0.492
Gd8 Gd 0.908 0.827 0.992
N1 N 0.000 0.010 0.750
N2 N 0.000 0.990 0.250
N3 N 0.500 0.490 0.250
N4 N 0.500 0.510 0.750
Cl1 Cl 0.000 0.497 0.250
Cl2 Cl 0.000 0.503 0.750
Cl3 Cl 0.221 0.135 0.390
Cl4 Cl 0.221 0.865 0.890
Cl5 Cl 0.279 0.365 0.890
Cl6 Cl 0.279 0.635 0.390
Cl7 Cl 0.500 0.003 0.750
Cl8 Cl 0.500 0.997 0.250
Cl9 Cl 0.721 0.365 0.610
Cl10 Cl 0.721 0.635 0.110
Cl11 Cl 0.779 0.135 0.110
Cl12 Cl 0.779 0.865 0.610
```

(7)
For LiAl4CuSe2, a PBE-relaxed structure gives the simulated X-ray powder pattern in this record (Cu Kα X-rays).

Principal peaks in the range 2θ from 10° to 90°, by angle:
| 2θ (°) | I_rel |
| --- | --- |
| 16.76 | 29.8 |
| 17.34 | 8.3 |
| 26.83 | 100.0 |
| 28.89 | 10.2 |
| 33.58 | 9.1 |
| 41.31 | 26.2 |
| 46.08 | 36.6 |
| 49.95 | 33.9 |
| 58.09 | 10.2 |
| 59.86 | 8.2 |
| 73.76 | 9.8 |
| 78.70 | 13.7 |

Cell and atoms:
```
data_LiAl4CuSe2
_chemical_formula_sum 'Li2 Al8 Cu2 Se4'
_cell_length_a 6.181
_cell_length_b 6.181
_cell_length_c 10.227
_cell_angle_alpha 90.00
_cell_angle_beta 90.00
_cell_angle_gamma 90.00
_symmetry_space_group_name_H-M 'P 1'
_symmetry_Int_Tables_number 1
loop_
_symmetry_equiv_pos_as_xyz
'x,y,z'
loop_
_atom_site_label
_atom_site_type_symbol
_atom_site_fract_x
_atom_site_fract_y
_atom_site_fract_z
Li1 Li 0.000 0.000 0.000
Li2 Li 0.500 0.500 0.500
Al1 Al 0.224 0.747 0.642
Al2 Al 0.247 0.276 0.858
Al3 Al 0.253 0.224 0.358
Al4 Al 0.276 0.753 0.142
Al5 Al 0.724 0.247 0.142
Al6 Al 0.747 0.776 0.358
Al7 Al 0.753 0.724 0.858
Al8 Al 0.776 0.253 0.642
Cu1 Cu 0.000 0.500 0.750
Cu2 Cu 0.500 0.000 0.250
Se1 Se 0.000 0.000 0.500
Se2 Se 0.000 0.500 0.250
Se3 Se 0.500 0.000 0.750
Se4 Se 0.500 0.500 0.000
```

(8)
For KTbAu3S4, a PBE-relaxed structure gives the simulated X-ray powder pattern in this record (Cu Kα X-rays).

Principal peaks in the range 2θ from 10° to 90°, by angle:
| 2θ (°) | I_rel |
| --- | --- |
| 14.39 | 100.0 |
| 25.06 | 33.6 |
| 29.02 | 21.1 |
| 30.97 | 20.8 |
| 32.33 | 16.3 |
| 32.94 | 34.4 |
| 35.14 | 20.4 |
| 35.63 | 16.9 |
| 35.76 | 22.6 |
| 39.30 | 23.0 |
| 42.64 | 20.4 |
| 43.28 | 19.7 |

Cell and atoms:
```
data_KTbAu3S4
_chemical_formula_sum 'K2 Tb2 Au6 S8'
_cell_length_a 5.777
_cell_length_b 7.543
_cell_length_c 10.960
_cell_angle_alpha 90.00
_cell_angle_beta 103.82
_cell_angle_gamma 90.00
_symmetry_space_group_name_H-M 'P 1'
_symmetry_Int_Tables_number 1
loop_
_symmetry_equiv_pos_as_xyz
'x,y,z'
loop_
_atom_site_label
_atom_site_type_symbol
_atom_site_fract_x
_atom_site_fract_y
_atom_site_fract_z
K1 K 0.239 0.250 0.375
K2 K 0.761 0.750 0.625
Tb1 Tb 0.115 0.250 0.808
Tb2 Tb 0.885 0.750 0.192
Au1 Au 0.298 0.563 0.053
Au2 Au 0.298 0.937 0.053
Au3 Au 0.443 0.750 0.316
Au4 Au 0.557 0.250 0.684
Au5 Au 0.702 0.063 0.947
Au6 Au 0.702 0.437 0.947
S1 S 0.044 0.250 0.054
S2 S 0.144 0.750 0.427
S3 S 0.381 0.517 0.771
S4 S 0.381 0.983 0.771
S5 S 0.619 0.017 0.229
S6 S 0.619 0.483 0.229
S7 S 0.856 0.250 0.573
S8 S 0.956 0.750 0.946
```

(9)
For Cs2Dy4Cu4Te9, a PBE-relaxed structure gives the simulated X-ray powder pattern in this record (Cu Kα X-rays).

Principal peaks in the range 2θ from 10° to 90°, by angle:
| 2θ (°) | I_rel |
| --- | --- |
| 11.93 | 43.3 |
| 25.34 | 38.6 |
| 26.53 | 59.2 |
| 26.99 | 100.0 |
| 27.12 | 56.7 |
| 28.48 | 42.8 |
| 28.71 | 70.3 |
| 31.78 | 34.3 |
| 35.47 | 35.5 |
| 38.38 | 43.2 |
| 41.01 | 76.8 |
| 41.59 | 35.2 |

Cell and atoms:
```
data_Cs2Dy4Cu4Te9
_chemical_formula_sum 'Cs2 Dy4 Cu4 Te9'
_cell_length_a 8.108
_cell_length_b 8.108
_cell_length_c 17.777
_cell_angle_alpha 107.41
_cell_angle_beta 107.41
_cell_angle_gamma 31.50
_symmetry_space_group_name_H-M 'P 1'
_symmetry_Int_Tables_number 1
loop_
_symmetry_equiv_pos_as_xyz
'x,y,z'
loop_
_atom_site_label
_atom_site_type_symbol
_atom_site_fract_x
_atom_site_fract_y
_atom_site_fract_z
Cs1 Cs 0.033 0.033 0.274
Cs2 Cs 0.967 0.967 0.726
Dy1 Dy 0.228 0.228 0.100
Dy2 Dy 0.347 0.347 0.444
Dy3 Dy 0.653 0.653 0.556
Dy4 Dy 0.772 0.772 0.900
Cu1 Cu 0.249 0.249 0.736
Cu2 Cu 0.424 0.424 0.026
Cu3 Cu 0.576 0.576 0.974
Cu4 Cu 0.751 0.751 0.264
Te1 Te 0.000 0.000 0.500
Te2 Te 0.136 0.136 0.922
Te3 Te 0.295 0.295 0.600
Te4 Te 0.344 0.344 0.273
Te5 Te 0.397 0.397 0.873
Te6 Te 0.603 0.603 0.127
Te7 Te 0.656 0.656 0.727
Te8 Te 0.705 0.705 0.400
Te9 Te 0.864 0.864 0.078
```

(10)
For CdSnAsP, a PBE-relaxed structure gives the simulated X-ray powder pattern in this record (Cu Kα X-rays).

Principal peaks in the range 2θ from 10° to 90°, by angle:
| 2θ (°) | I_rel |
| --- | --- |
| 25.55 | 100.0 |
| 42.05 | 23.1 |
| 42.40 | 22.2 |
| 42.55 | 22.0 |
| 49.71 | 16.1 |
| 49.99 | 15.8 |
| 50.59 | 14.6 |
| 67.21 | 6.5 |
| 67.72 | 6.1 |
| 76.97 | 7.6 |
| 77.30 | 7.6 |
| 78.01 | 7.0 |

Cell and atoms:
```
data_CdSnAsP
_chemical_formula_sum 'Cd4 Sn4 As4 P4'
_cell_length_a 6.056
_cell_length_b 6.099
_cell_length_c 11.927
_cell_angle_alpha 90.00
_cell_angle_beta 90.00
_cell_angle_gamma 90.00
_symmetry_space_group_name_H-M 'P 1'
_symmetry_Int_Tables_number 1
loop_
_symmetry_equiv_pos_as_xyz
'x,y,z'
loop_
_atom_site_label
_atom_site_type_symbol
_atom_site_fract_x
_atom_site_fract_y
_atom_site_fract_z
Cd1 Cd 0.000 0.250 0.116
Cd2 Cd 0.000 0.750 0.384
Cd3 Cd 0.500 0.250 0.884
Cd4 Cd 0.500 0.750 0.616
Sn1 Sn 0.000 0.250 0.623
Sn2 Sn 0.000 0.750 0.877
Sn3 Sn 0.500 0.250 0.377
Sn4 Sn 0.500 0.750 0.123
As1 As 0.247 0.000 0.250
As2 As 0.253 0.000 0.750
As3 As 0.747 0.500 0.750
As4 As 0.753 0.500 0.250
P1 P 0.250 0.489 0.500
P2 P 0.250 0.511 0.000
P3 P 0.750 0.011 0.500
P4 P 0.750 0.989 0.000
```

(11)
For Fe2SnCl6, a PBE-relaxed structure gives the simulated X-ray powder pattern in this record (Cu Kα X-rays).

Principal peaks in the range 2θ from 10° to 90°, by angle:
| 2θ (°) | I_rel |
| --- | --- |
| 16.94 | 47.7 |
| 18.75 | 100.0 |
| 24.71 | 42.4 |
| 24.79 | 21.3 |
| 28.47 | 33.0 |
| 31.67 | 25.4 |
| 31.78 | 49.4 |
| 40.10 | 30.3 |
| 40.25 | 71.1 |
| 40.33 | 30.0 |
| 50.25 | 38.5 |
| 50.47 | 29.5 |

Cell and atoms:
```
data_Fe2SnCl6
_chemical_formula_sum 'Fe2 Sn1 Cl6'
_cell_length_a 6.270
_cell_length_b 6.270
_cell_length_c 7.347
_cell_angle_alpha 64.99
_cell_angle_beta 64.81
_cell_angle_gamma 60.31
_symmetry_space_group_name_H-M 'P 1'
_symmetry_Int_Tables_number 1
loop_
_symmetry_equiv_pos_as_xyz
'x,y,z'
loop_
_atom_site_label
_atom_site_type_symbol
_atom_site_fract_x
_atom_site_fract_y
_atom_site_fract_z
Fe1 Fe 0.000 0.000 0.000
Fe2 Fe 0.325 0.330 0.017
Sn1 Sn 0.821 0.822 0.534
Cl1 Cl 0.112 0.739 0.779
Cl2 Cl 0.250 0.595 0.219
Cl3 Cl 0.369 0.114 0.777
Cl4 Cl 0.596 0.935 0.217
Cl5 Cl 0.734 0.372 0.778
Cl6 Cl 0.933 0.253 0.218
```

(12)
For CsTa6Zn, a PBE-relaxed structure gives the simulated X-ray powder pattern in this record (Cu Kα X-rays).

Principal peaks in the range 2θ from 10° to 90°, by angle:
| 2θ (°) | I_rel |
| --- | --- |
| 20.74 | 24.8 |
| 33.99 | 100.0 |
| 34.62 | 54.4 |
| 36.33 | 72.7 |
| 39.64 | 79.1 |
| 40.70 | 24.7 |
| 51.06 | 37.1 |
| 55.25 | 21.1 |
| 57.72 | 27.5 |
| 59.27 | 17.8 |
| 71.90 | 21.2 |
| 75.42 | 21.5 |

Cell and atoms:
```
data_CsTa6Zn
_chemical_formula_sum 'Cs1 Ta6 Zn1'
_cell_length_a 5.583
_cell_length_b 5.583
_cell_length_c 5.583
_cell_angle_alpha 100.19
_cell_angle_beta 100.19
_cell_angle_gamma 100.19
_symmetry_space_group_name_H-M 'P 1'
_symmetry_Int_Tables_number 1
loop_
_symmetry_equiv_pos_as_xyz
'x,y,z'
loop_
_atom_site_label
_atom_site_type_symbol
_atom_site_fract_x
_atom_site_fract_y
_atom_site_fract_z
Cs1 Cs 0.000 0.000 0.000
Ta1 Ta 0.066 0.310 0.607
Ta2 Ta 0.310 0.607 0.066
Ta3 Ta 0.393 0.934 0.690
Ta4 Ta 0.607 0.066 0.310
Ta5 Ta 0.690 0.393 0.934
Ta6 Ta 0.934 0.690 0.393
Zn1 Zn 0.500 0.500 0.500
```

Please write out number 9 again, unchanged.
For Cs2Dy4Cu4Te9, a PBE-relaxed structure gives the simulated X-ray powder pattern in this record (Cu Kα X-rays).

Principal peaks in the range 2θ from 10° to 90°, by angle:
| 2θ (°) | I_rel |
| --- | --- |
| 11.93 | 43.3 |
| 25.34 | 38.6 |
| 26.53 | 59.2 |
| 26.99 | 100.0 |
| 27.12 | 56.7 |
| 28.48 | 42.8 |
| 28.71 | 70.3 |
| 31.78 | 34.3 |
| 35.47 | 35.5 |
| 38.38 | 43.2 |
| 41.01 | 76.8 |
| 41.59 | 35.2 |

Cell and atoms:
```
data_Cs2Dy4Cu4Te9
_chemical_formula_sum 'Cs2 Dy4 Cu4 Te9'
_cell_length_a 8.108
_cell_length_b 8.108
_cell_length_c 17.777
_cell_angle_alpha 107.41
_cell_angle_beta 107.41
_cell_angle_gamma 31.50
_symmetry_space_group_name_H-M 'P 1'
_symmetry_Int_Tables_number 1
loop_
_symmetry_equiv_pos_as_xyz
'x,y,z'
loop_
_atom_site_label
_atom_site_type_symbol
_atom_site_fract_x
_atom_site_fract_y
_atom_site_fract_z
Cs1 Cs 0.033 0.033 0.274
Cs2 Cs 0.967 0.967 0.726
Dy1 Dy 0.228 0.228 0.100
Dy2 Dy 0.347 0.347 0.444
Dy3 Dy 0.653 0.653 0.556
Dy4 Dy 0.772 0.772 0.900
Cu1 Cu 0.249 0.249 0.736
Cu2 Cu 0.424 0.424 0.026
Cu3 Cu 0.576 0.576 0.974
Cu4 Cu 0.751 0.751 0.264
Te1 Te 0.000 0.000 0.500
Te2 Te 0.136 0.136 0.922
Te3 Te 0.295 0.295 0.600
Te4 Te 0.344 0.344 0.273
Te5 Te 0.397 0.397 0.873
Te6 Te 0.603 0.603 0.127
Te7 Te 0.656 0.656 0.727
Te8 Te 0.705 0.705 0.400
Te9 Te 0.864 0.864 0.078
```